Entry 1:
This entry pairs a crystal structure of AlPd5Pt5 with its calculated powder diffraction line list. Radiation: λ = 1.5418 Å (Cu Kα). Structure: a crystal structure in Alexandria, relaxed with GGA-PBE.
Intensities are scaled so that the largest is 100.

Atomic structure:
```
data_AlPd5Pt5
_cell_length_a 13.9758
_cell_length_b 3.9052
_cell_length_c 7.8040
_cell_angle_alpha 90.00
_cell_angle_beta 123.91
_cell_angle_gamma 90.00
_space_group_name_H-M_alt 'C 1 m 1'
_space_group_IT_number 8
loop_
_space_group_symop_operation_xyz
'x,y,z'
'x,-y,z'
'x+1/2,y+1/2,z'
'x+1/2,-y+1/2,z'
loop_
_atom_site_label
_atom_site_fract_x
_atom_site_fract_y
_atom_site_fract_z
_atom_site_occupancy
Al1 0.0000 0.0000 0.0000 1
Pd1 0.1656 0.0000 0.4163 1
Pd2 0.3322 0.5000 0.0831 1
Pd3 0.3371 0.0000 0.3469 1
Pd4 0.3373 0.0000 0.8365 1
Pd5 0.3421 0.5000 0.6052 1
Pt1 0.1546 0.0000 0.9154 1
Pt2 0.1586 0.5000 0.1557 1
Pt3 0.1590 0.5000 0.6714 1
Pt4 0.4979 0.5000 0.5122 1
Pt5 0.4990 0.0000 0.2453 1
```

Principal peaks in the range 2θ from 5° to 70°, most intense first:
- hkl 1 1 2, 40.14 deg, d 2.247, I 100
- hkl 0 2 0, 46.53 deg, d 1.952, I 33
- hkl 6 2 0, 68.29 deg, d 1.374, I 20
- hkl 6 0 0, 47.00 deg, d 1.933, I 15
- hkl 2 0 -1, 13.68 deg, d 6.474, I 11
- hkl 4 2 -4, 67.92 deg, d 1.380, I 10
- hkl 3 1 -1, 29.87 deg, d 2.992, I 8
- hkl 4 0 -1, 25.71 deg, d 3.465, I 8
- hkl 1 1 -1, 25.51 deg, d 3.492, I 7
- hkl 2 0 0, 15.28 deg, d 5.800, I 6

=====

Entry 2:
This entry pairs a crystal structure of AlPd2Pt4 with its calculated powder diffraction line list. Radiation: λ = 1.5418 Å (Cu Kα). Structure: a crystal structure in Alexandria, relaxed with GGA-PBE.
Intensities are scaled so that the largest is 100.

Atomic structure:
```
data_AlPd2Pt4
_cell_length_a 4.6489
_cell_length_b 17.4465
_cell_length_c 2.7763
_cell_angle_alpha 90.00
_cell_angle_beta 90.00
_cell_angle_gamma 90.00
_space_group_name_H-M_alt 'C m m m'
_space_group_IT_number 65
_space_group_name_Hall '-C 2 2'
loop_
_atom_site_label
_atom_site_fract_x
_atom_site_fract_y
_atom_site_fract_z
_atom_site_occupancy
Al1 0.0000 0.0000 0.0000 1
Pd1 0.0000 0.2856 0.5000 1
Pt1 0.0000 0.1214 0.5000 1
Pt2 0.0000 0.4218 0.0000 1
```

Principal peaks in the range 2θ from 5° to 70°, most intense first:
- hkl 1 5 1, 46.12 deg, d 1.968, I 100
- hkl 1 1 1, 38.10 deg, d 2.362, I 75
- hkl 1 7 0, 41.09 deg, d 2.197, I 72
- hkl 2 0 0, 38.74 deg, d 2.324, I 62
- hkl 0 4 0, 20.36 deg, d 4.362, I 40
- hkl 0 2 1, 33.88 deg, d 2.646, I 31
- hkl 0 6 0, 30.75 deg, d 2.908, I 23
- hkl 2 2 1, 52.40 deg, d 1.746, I 20
- hkl 0 8 1, 53.43 deg, d 1.715, I 16
- hkl 2 8 1, 67.92 deg, d 1.380, I 16

=====

Entry 3:
This entry pairs a crystal structure of AlPd12Pt7 with its calculated powder diffraction line list. Radiation: λ = 1.5418 Å (Cu Kα). Structure: a crystal structure in Alexandria, relaxed with GGA-PBE.
Intensities are scaled so that the largest is 100.

Atomic structure:
```
data_AlPd12Pt7
_cell_length_a 10.8736
_cell_length_b 10.8736
_cell_length_c 9.1928
_cell_angle_alpha 90.00
_cell_angle_beta 90.00
_cell_angle_gamma 120.00
_space_group_name_H-M_alt 'R -3 m'
_space_group_IT_number 166
_space_group_name_Hall '-R 3 2"'
loop_
_atom_site_label
_atom_site_fract_x
_atom_site_fract_y
_atom_site_fract_z
_atom_site_occupancy
Al1 0.0000 0.0000 0.0000 1
Pd1 0.0000 0.2593 0.5000 1
Pd2 0.0845 0.1691 0.2468 1
Pt1 0.0000 0.0000 0.5000 1
Pt2 0.0601 0.5300 0.6239 1
```

Principal peaks in the range 2θ from 5° to 70°, most intense first:
- hkl 4 0 1, 39.51 deg, d 2.281, I 100
- hkl 0 3 3, 41.17 deg, d 2.193, I 80
- hkl 3 1 2, 39.69 deg, d 2.271, I 46
- hkl 1 0 4, 40.40 deg, d 2.233, I 43
- hkl 2 3 2, 46.44 deg, d 1.955, I 29
- hkl 3 2 1, 43.01 deg, d 2.103, I 28
- hkl 0 2 1, 21.20 deg, d 4.191, I 26
- hkl 0 4 2, 43.17 deg, d 2.095, I 25
- hkl 0 2 4, 43.83 deg, d 2.065, I 17
- hkl 2 1 1, 26.86 deg, d 3.319, I 13

=====

Entry 4:
This entry pairs a crystal structure of PuAl4Pd2Pt with its calculated powder diffraction line list. Radiation: λ = 1.5418 Å (Cu Kα). Structure: a crystal structure in Alexandria, relaxed with GGA-PBE.
Intensities are scaled so that the largest is 100.

Atomic structure:
```
data_PuAl4Pd2Pt
_cell_length_a 4.2805
_cell_length_b 4.2805
_cell_length_c 26.7009
_cell_angle_alpha 90.00
_cell_angle_beta 90.00
_cell_angle_gamma 120.00
_space_group_name_H-M_alt 'R -3 m'
_space_group_IT_number 166
_space_group_name_Hall '-R 3 2"'
loop_
_atom_site_label
_atom_site_fract_x
_atom_site_fract_y
_atom_site_fract_z
_atom_site_occupancy
Pu1 0.0000 0.0000 0.0000 1
Al1 0.0000 0.0000 0.1322 1
Al2 0.0000 0.0000 0.4026 1
Pd1 0.0000 0.0000 0.2377 1
Pt1 0.0000 0.0000 0.5000 1
```

Principal peaks in the range 2θ from 5° to 70°, most intense first:
- hkl 1 0 4, 27.52 deg, d 3.241, I 100
- hkl 0 1 8, 36.22 deg, d 2.480, I 75
- hkl 1 1 0, 42.22 deg, d 2.140, I 63
- hkl 1 1 12, 59.97 deg, d 1.543, I 23
- hkl 0 1 2, 24.93 deg, d 3.572, I 22
- hkl 2 0 8, 56.82 deg, d 1.620, I 21
- hkl 0 2 4, 51.15 deg, d 1.786, I 19
- hkl 2 1 4, 68.42 deg, d 1.371, I 16
- hkl 1 0 16, 60.87 deg, d 1.522, I 13
- hkl 0 0 12, 40.54 deg, d 2.225, I 12

=====

Entry 5:
This entry pairs a crystal structure of SmAl4Pd2Pt with its calculated powder diffraction line list. Radiation: λ = 1.5418 Å (Cu Kα). Structure: a crystal structure in Alexandria, relaxed with GGA-PBE.
Intensities are scaled so that the largest is 100.

Atomic structure:
```
data_SmAl4Pd2Pt
_cell_length_a 4.2898
_cell_length_b 4.2898
_cell_length_c 26.8169
_cell_angle_alpha 90.00
_cell_angle_beta 90.00
_cell_angle_gamma 120.00
_space_group_name_H-M_alt 'R -3 m'
_space_group_IT_number 166
_space_group_name_Hall '-R 3 2"'
loop_
_atom_site_label
_atom_site_fract_x
_atom_site_fract_y
_atom_site_fract_z
_atom_site_occupancy
Sm1 0.0000 0.0000 0.0000 1
Al1 0.0000 0.0000 0.1335 1
Al2 0.0000 0.0000 0.4034 1
Pd1 0.0000 0.0000 0.2390 1
Pt1 0.0000 0.0000 0.5000 1
```

Principal peaks in the range 2θ from 5° to 70°, most intense first:
- hkl 1 0 4, 27.45 deg, d 3.250, I 100
- hkl 0 1 8, 36.09 deg, d 2.489, I 80
- hkl 1 1 0, 42.13 deg, d 2.145, I 68
- hkl 1 1 12, 59.76 deg, d 1.547, I 25
- hkl 0 0 3, 9.89 deg, d 8.939, I 23
- hkl 2 0 8, 56.65 deg, d 1.625, I 22
- hkl 0 2 4, 51.02 deg, d 1.790, I 19
- hkl 2 1 4, 68.24 deg, d 1.374, I 16
- hkl 0 0 12, 40.36 deg, d 2.235, I 13
- hkl 0 1 2, 24.87 deg, d 3.580, I 12

=====

Entry 6:
This entry pairs a crystal structure of SrAlPdPt with its calculated powder diffraction line list. Radiation: λ = 1.5418 Å (Cu Kα). Structure: a crystal structure in Alexandria, relaxed with GGA-PBE.
Intensities are scaled so that the largest is 100.

Atomic structure:
```
data_SrAlPdPt
_cell_length_a 7.5380
_cell_length_b 4.3681
_cell_length_c 5.9747
_cell_angle_alpha 90.00
_cell_angle_beta 114.84
_cell_angle_gamma 90.00
_space_group_name_H-M_alt 'C 1 m 1'
_space_group_IT_number 8
loop_
_space_group_symop_operation_xyz
'x,y,z'
'x,-y,z'
'x+1/2,y+1/2,z'
'x+1/2,-y+1/2,z'
loop_
_atom_site_label
_atom_site_fract_x
_atom_site_fract_y
_atom_site_fract_z
_atom_site_occupancy
Sr1 0.0000 0.0000 0.0000 1
Al1 0.4926 0.0000 0.4795 1
Pd1 0.2018 0.0000 0.6060 1
Pt1 0.2967 0.5000 0.3918 1
```

Principal peaks in the range 2θ from 5° to 70°, most intense first:
- hkl 2 0 1, 36.45 deg, d 2.465, I 100
- hkl 2 0 -1, 24.20 deg, d 3.678, I 62
- hkl 0 0 1, 16.35 deg, d 5.422, I 62
- hkl 3 1 -1, 41.46 deg, d 2.178, I 62
- hkl 1 1 1, 32.35 deg, d 2.767, I 59
- hkl 2 0 0, 26.02 deg, d 3.425, I 36
- hkl 0 2 0, 41.34 deg, d 2.184, I 31
- hkl 1 1 3, 62.13 deg, d 1.494, I 27
- hkl 3 1 -2, 44.85 deg, d 2.021, I 19
- hkl 2 2 1, 56.29 deg, d 1.634, I 19